The following is a simulated X-ray powder pattern of AcNi3Sn2. It was derived from a GGA-PBE-relaxed structure, using Cu Ka.

Largest 10 diffraction maxima, low angle first, 10 to 90 degrees two-theta:
2θ/deg	I/Imax
26.07	47
27.87	41
31.44	79
32.72	51
34.18	49
34.39	100
34.60	62
35.88	63
41.20	87
43.37	41

Structural model:
```
12
Lattice="8.3963 -2.1913 0.0000 8.3963 2.1913 0.0000 -1.4460 0.0000 6.3301" Properties=species:S:1:pos:R:3 pbc="T T T"
Ac 1.8443 0.0000 0.8232
Ac 13.5024 0.0000 5.5069
Ni 0.3168 0.0000 3.7157
Ni 4.8187 0.0000 0.5887
Ni 5.2952 0.0000 3.1070
Ni 10.0515 0.0000 3.2232
Ni 10.5280 0.0000 5.7414
Ni 15.0299 0.0000 2.6144
Sn 2.8014 0.0000 4.3190
Sn 7.6568 0.0000 1.6840
Sn 7.6899 0.0000 4.6461
Sn 12.5453 0.0000 2.0111
```

***

The following is a simulated X-ray powder pattern of AcNi3Sn2. It was derived from a GGA-PBE-relaxed structure, using Cu Ka.

Largest 10 diffraction maxima, low angle first, 10 to 90 degrees two-theta:
2θ/deg	I/Imax
26.34	35
26.73	38
27.07	93
31.96	85
33.77	39
34.09	85
36.37	100
40.84	68
44.06	37
54.22	46

Structural model:
```
12
Lattice="8.2978 -2.2095 0.0000 8.2978 2.2095 0.0000 -3.3581 0.0000 6.6690" Properties=species:S:1:pos:R:3 pbc="T T T"
Ac 1.8587 0.0000 1.4288
Ac 11.3787 0.0000 5.2402
Ni -1.0546 0.0000 2.3326
Ni 4.7622 0.0000 0.4188
Ni 5.3259 0.0000 3.0270
Ni 7.9116 0.0000 3.6420
Ni 8.4752 0.0000 6.2502
Ni 14.2921 0.0000 4.3365
Sn 0.3970 0.0000 4.7132
Sn 7.2651 0.0000 1.1218
Sn 5.9724 0.0000 5.5472
Sn 12.8405 0.0000 1.9559
```

***

The following is a simulated X-ray powder pattern of Ac4NiSn8. It was derived from a GGA-PBE-relaxed structure, using Cu Ka.

Largest 10 diffraction maxima, low angle first, 10 to 90 degrees two-theta:
2θ/deg	I/Imax
21.64	10
23.76	9
29.04	13
30.81	100
35.14	13
38.12	16
39.28	15
55.89	11
64.39	13
65.99	10

Structural model:
```
13
Lattice="4.5873 0.0000 0.0000 0.0000 4.7212 0.0000 0.0000 0.0000 18.4488" Properties=species:S:1:pos:R:3 pbc="T T T"
Ac 0.0000 0.0000 0.0000
Ac 0.0000 2.3606 9.1843
Ac 2.2936 0.0000 3.8731
Ac 2.2936 2.3606 13.0569
Ni 2.2936 0.0000 7.6505
Sn 0.0000 0.0000 6.4541
Sn 0.0000 0.0000 12.1186
Sn 0.0000 2.3606 2.8774
Sn 0.0000 2.3606 15.8246
Sn 2.2936 0.0000 10.2350
Sn 2.2936 0.0000 15.6775
Sn 2.2936 2.3606 0.9540
Sn 2.2936 2.3606 6.4129
```